# LiCr3O8
Calculated X-ray powder pattern, copper Kα. Input: a DFT-relaxed cell (PBE+U, Alexandria).
No peak broadening, texture or thermal motion is included.

Top 10 peaks for 2θ from 15° to 90°, in order of rising 2θ:
(1 1 -1), 23.49°, d = 3.787 Å, I 132
(1 1 1), 23.84°, d = 3.733 Å, I 1000
(2 0 -1), 24.83°, d = 3.586 Å, I 655
(0 2 0), 32.36°, d = 2.766 Å, I 260
(1 1 -2), 33.67°, d = 2.662 Å, I 219
(1 1 2), 34.18°, d = 2.623 Å, I 296
(3 1 0), 35.67°, d = 2.517 Å, I 320
(2 2 -1), 41.21°, d = 2.190 Å, I 127
(4 2 -2), 61.64°, d = 1.505 Å, I 125
(4 2 2), 62.91°, d = 1.477 Å, I 136

Crystal structure
abc: 8.4815 5.5327 6.4357
angles: 90.00 91.61 90.00
Space group C2/m (No. 12)
Unique sites:
Li  0.0000  0.0000  0.0000 (multiplicity 2)
Cr  0.0000  0.0000  0.5000 (multiplicity 2)
Cr  0.1455  0.5000  0.7397 (multiplicity 4)
O  0.0310  0.2460  0.7281 (multiplicity 8)
O  0.2312  0.0000  0.4557 (multiplicity 4)
O  0.2462  0.5000  0.9553 (multiplicity 4)